Entry 1:
# Tb3Pd2Pt3
Simulated powder XRD pattern, CuKα. Input: the PBE geometry in Alexandria.
Lines closer than 0.1° are merged.

Largest 12 diffraction maxima, in order of rising 2θ, 2θ from 15° to 90°:
index  2θ/deg  I (rel.)
1 1 0  21.22  25.2
0 0 2  31.44  26.8
2 1 1  36.38  24.4
3 0 0  37.20  100.0
1 1 2  38.24  72.3
3 1 1  47.98  12.2
3 0 2  49.47  35.3
2 2 2  54.41  22.1
3 3 0  67.06  12.7
4 1 2  67.76  20.1
4 2 1  70.71  12.0
3 0 4  77.91  23.5

Cell lengths 8.3734, 8.3734, 5.6914 Å; angles 90.00, 90.00, 120.00 degrees
Space group P6_3/mcm (No. 193)
Symmetry-distinct sites (fractional):
Tb: 0.0000 0.3059 0.2500 [6 per cell]
Pd: 0.3333 0.6667 0.0000 [4 per cell]
Pt: 0.0000 0.3649 0.7500 [6 per cell]

=====

Entry 2:
# Tb2Pd2Pt
Simulated powder XRD pattern, CuKα. Input: the PBE geometry in Alexandria.
Lines closer than 0.1° are merged.

Largest 12 diffraction maxima, in order of rising 2θ, 2θ from 15° to 90°:
index  2θ/deg  I (rel.)
2 0 0  24.99  63.9
2 0 -2  29.57  28.5
2 0 1  32.62  100.0
1 1 2  39.73  98.2
0 2 0  40.84  44.4
3 1 -1  40.95  88.2
1 1 -3  43.67  17.8
2 2 1  53.28  25.3
2 2 -3  58.30  21.2
4 2 1  73.77  21.1
3 3 -1  74.44  15.1
3 1 -6  85.99  11.8

Cell lengths 7.627, 4.419, 7.056 Å; angles 90.00, 111.17, 90.00 degrees
Space group C2/m (No. 12)
Symmetry-distinct sites (fractional):
Tb: 0.092 0.000 0.277 [4 per cell]
Pd: 0.145 0.500 0.934 [4 per cell]
Pt: 0.000 0.500 0.500 [2 per cell]

=====

Entry 3:
# TbPdPt3
Simulated powder XRD pattern, CuKα. Input: the PBE geometry in Alexandria.
Lines closer than 0.1° are merged.

Largest 12 diffraction maxima, in order of rising 2θ, 2θ from 15° to 90°:
index  2θ/deg  I (rel.)
0 0 2  27.97  18.1
1 2 1  37.00  100.0
1 1 2  37.33  90.5
0 2 2  39.54  21.6
2 0 0  40.58  45.4
0 3 1  44.06  15.4
1 3 0  46.56  18.5
1 0 3  47.36  17.3
0 3 3  60.97  19.6
2 3 3  75.83  20.8
1 5 2  82.96  20.7
1 2 5  84.34  18.3

Cell lengths 4.446, 6.512, 6.384 Å; angles 90.00, 90.00, 90.00 degrees
Space group Pmmn (No. 59, origin choice 2)
Symmetry-distinct sites (fractional):
Tb: 0.250 0.250 0.249 [2 per cell]
Pd: 0.250 0.750 0.455 [2 per cell]
Pt: 0.250 0.052 0.755 [4 per cell]
Pt: 0.250 0.750 0.048 [2 per cell]

=====

Entry 4:
# Tb2Pd7Pt3
Simulated powder XRD pattern, CuKα. Input: the PBE geometry in Alexandria.
Lines closer than 0.1° are merged.

Largest 12 diffraction maxima, in order of rising 2θ, 2θ from 15° to 90°:
index  2θ/deg  I (rel.)
1 0 0  20.95  24.2
1 -1 1  23.39  30.8
1 0 -3  31.14  36.9
0 1 -4  36.41  52.1
1 -2 0  36.97  39.0
1 1 1  37.92  100.0
1 0 -4  38.49  45.0
2 -1 0  38.89  81.1
-1 2 1  39.66  44.9
1 -1 4  41.19  77.5
0 2 -3  42.59  62.8
-1 1 4  43.84  39.2

Cell lengths 4.657, 5.008, 10.400 Å; angles 101.71, 94.27, 112.56 degrees
Space group P-1 (No. 2)
Symmetry-distinct sites (fractional):
Tb: 0.244 0.474 0.258 [2 per cell]
Pd: 0.000 0.000 0.000 [1 per cell]
Pd: 0.066 0.151 0.758 [2 per cell]
Pd: 0.180 0.303 0.517 [2 per cell]
Pd: 0.453 0.924 0.867 [2 per cell]
Pt: 0.430 0.908 0.609 [2 per cell]
Pt: 0.500 0.500 0.000 [1 per cell]

=====

Entry 5:
# Tb2PdPt3
Simulated powder XRD pattern, CuKα. Input: the PBE geometry in Alexandria.
Lines closer than 0.1° are merged.

Largest 12 diffraction maxima, in order of rising 2θ, 2θ from 15° to 90°:
index  2θ/deg  I (rel.)
2 0 0  23.02  34.0
1 2 1  26.27  29.0
2 0 2  31.60  91.6
1 3 0  33.79  18.0
2 2 2  38.23  26.2
1 3 2  40.32  100.0
0 0 4  43.49  36.2
4 0 0  47.04  18.7
3 3 0  47.79  25.5
4 0 4  65.99  18.3
3 3 4  66.59  19.1
5 3 2  73.45  31.3

Cell lengths 7.727, 8.472, 8.323 Å; angles 90.00, 90.00, 90.00 degrees
Space group Ibam (No. 72)
Symmetry-distinct sites (fractional):
Tb: 0.203 0.182 0.000 [8 per cell]
Pd: 0.000 0.500 0.000 [4 per cell]
Pt: 0.000 0.000 0.250 [4 per cell]
Pt: 0.000 0.314 0.250 [8 per cell]

=====

Entry 6:
# Tb2Pd4Pt
Simulated powder XRD pattern, CuKα. Input: the PBE geometry in Alexandria.
Lines closer than 0.1° are merged.

Largest 12 diffraction maxima, in order of rising 2θ, 2θ from 15° to 90°:
index  2θ/deg  I (rel.)
3 1 1  30.92  94.8
4 0 2  37.92  32.1
0 2 2  38.64  100.0
0 0 4  39.02  48.6
3 1 3  41.72  42.2
4 2 0  47.03  17.2
4 2 2  51.26  11.9
3 3 1  57.88  16.2
3 1 5  58.45  15.8
4 2 4  62.71  14.6
0 2 6  70.43  16.9
8 2 2  80.81  19.1

Cell lengths 11.066, 5.399, 9.233 Å; angles 90.00, 90.00, 90.00 degrees
Space group Cmce (No. 64)
Symmetry-distinct sites (fractional):
Tb: 0.145 0.000 0.000 [8 per cell]
Pd: 0.000 0.249 0.250 [8 per cell]
Pd: 0.250 0.249 0.750 [8 per cell]
Pt: 0.000 0.000 0.500 [4 per cell]

=====

Entry 7:
# TcPd5Pt4
Simulated powder XRD pattern, CuKα. Input: the PBE geometry in Alexandria.
Lines closer than 0.1° are merged.

Largest 12 diffraction maxima, in order of rising 2θ, 2θ from 15° to 90°:
index  2θ/deg  I (rel.)
0 0 5  22.20  5.7
1 0 0  32.39  4.5
1 0 5  39.62  100.0
0 0 10  45.28  16.9
1 1 0  46.47  31.9
1 1 5  52.07  2.6
1 0 10  56.77  2.1
1 1 10  66.90  21.0
2 0 0  67.82  10.3
1 0 15  79.77  12.5
2 1 5  81.50  24.7
2 0 10  85.34  11.0

Cell lengths 2.764, 2.764, 20.026 Å; angles 90.00, 90.00, 90.00 degrees
Space group P4/mmm (No. 123)
Symmetry-distinct sites (fractional):
Tc: 0.000 0.000 0.000 [1 per cell]
Pd: 0.500 0.500 0.095 [2 per cell]
Pd: 0.500 0.500 0.299 [2 per cell]
Pd: 0.500 0.500 0.500 [1 per cell]
Pt: 0.000 0.000 0.198 [2 per cell]
Pt: 0.000 0.000 0.400 [2 per cell]

=====

Entry 8:
# Tc2PdPt6
Simulated powder XRD pattern, CuKα. Input: the PBE geometry in Alexandria.
Lines closer than 0.1° are merged.

Largest 12 diffraction maxima, in order of rising 2θ, 2θ from 15° to 90°:
index  2θ/deg  I (rel.)
0 0 6  25.79  14.2
1 0 0  37.21  62.0
1 0 1  37.47  22.5
0 0 9  39.12  58.8
1 0 4  41.22  89.4
1 0 5  43.34  100.0
1 0 6  45.83  23.5
1 0 9  55.09  35.6
1 1 0  67.09  39.9
1 0 14  75.29  22.7
1 1 9  80.49  44.1
2 0 5  83.31  15.4

Cell lengths 2.7903, 2.7903, 20.7233 Å; angles 90.00, 90.00, 120.00 degrees
Space group P-6m2 (No. 187)
Symmetry-distinct sites (fractional):
Tc: 0.0000 0.0000 0.1686 [2 per cell]
Pd: 0.6667 0.3333 0.5000 [1 per cell]
Pt: 0.0000 0.0000 0.3873 [2 per cell]
Pt: 0.6667 0.3333 0.0643 [2 per cell]
Pt: 0.6667 0.3333 0.2726 [2 per cell]